1.
Nd2Er15Sc2: computed powder X-ray diffraction pattern (a wavelength of 1.5418 Å), based on a GGA-PBE-relaxed structure.
No peak broadening, texture or thermal motion is included.

Peak list (10 most intense, 2θ from 10° to 80°, by angle)
- d 5.562, intensity 27, hkl 1 1 0
- d 3.207, intensity 25, hkl 0 2 4
- d 2.859, intensity 26, hkl 0 0 6
- d 2.798, intensity 100, hkl 0 3 3
- d 2.781, intensity 32, hkl 2 2 0
- d 2.501, intensity 51, hkl 2 2 3
- d 1.764, intensity 12, hkl 3 3 3
- d 1.639, intensity 13, hkl 0 3 9
- d 1.607, intensity 23, hkl 6 0 0
- d 1.400, intensity 10, hkl 6 0 6

Structural model:
Cell lengths 11.1249, 11.1249, 17.1523 Å; angles 90.00, 90.00, 120.00 degrees
Space group R-3m (No. 166, hexagonal axes)
Symmetry-distinct sites (fractional):
Nd1 0.0000 0.0000 0.1746 x6
Er1 0.0000 0.2940 0.5000 x18
Er2 0.0000 0.5000 0.0000 x9
Er3 0.0049 0.5024 0.6401 x18
Sc1 0.0000 0.0000 0.4077 x6

=====

2.
Nd5Er2Sc: computed powder X-ray diffraction pattern (a wavelength of 1.5418 Å), based on a GGA-PBE-relaxed structure.
No peak broadening, texture or thermal motion is included.

Peak list (10 most intense, 2θ from 10° to 80°, by angle)
- d 3.018, intensity 74, hkl 5 1 0
- d 2.984, intensity 39, hkl 3 1 -2
- d 2.854, intensity 100, hkl 1 3 1
- d 2.817, intensity 50, hkl 2 0 2
- d 2.078, intensity 14, hkl 4 4 -1
- d 2.070, intensity 12, hkl 6 2 1
- d 2.047, intensity 12, hkl 2 2 -3
- d 1.633, intensity 18, hkl 3 3 3
- d 1.585, intensity 20, hkl 10 0 0
- d 1.576, intensity 11, hkl 7 3 -3

Structural model:
Cell lengths 16.271, 9.933, 6.750 Å; angles 90.00, 103.17, 90.00 degrees
Space group C2/c (No. 15)
Symmetry-distinct sites (fractional):
Nd1 0.000 0.065 0.250 x4
Nd2 0.096 0.399 0.159 x8
Nd3 0.210 0.078 0.057 x8
Er1 0.089 0.255 0.663 x8
Sc1 0.250 0.250 0.500 x4

=====

3.
NdEr7Sc2: computed powder X-ray diffraction pattern (a wavelength of 1.5418 Å), based on a GGA-PBE-relaxed structure.
No peak broadening, texture or thermal motion is included.

Peak list (10 most intense, 2θ from 10° to 80°, by angle)
- d 2.848, intensity 100, hkl 1 2 1
- d 2.780, intensity 96, hkl 1 0 5
- d 2.648, intensity 45, hkl 2 0 0
- d 2.636, intensity 55, hkl 0 2 4
- d 1.868, intensity 40, hkl 2 2 4
- d 1.565, intensity 17, hkl 3 2 1
- d 1.553, intensity 16, hkl 3 0 5
- d 1.537, intensity 23, hkl 1 2 9
- d 1.467, intensity 28, hkl 1 4 5
- d 1.446, intensity 14, hkl 2 4 0

Structural model:
Cell lengths 5.296, 6.906, 16.331 Å; angles 90.00, 90.00, 90.00 degrees
Space group Immm (No. 71)
Symmetry-distinct sites (fractional):
Nd1 0.000 0.000 0.000 x2
Er1 0.000 0.000 0.203 x4
Er2 0.000 0.247 0.387 x8
Er3 0.000 0.500 0.000 x2
Sc1 0.000 0.500 0.199 x4

=====

4.
Nd2Er7Sc3: computed powder X-ray diffraction pattern (a wavelength of 1.5418 Å), based on a GGA-PBE-relaxed structure.
No peak broadening, texture or thermal motion is included.

Peak list (10 most intense, 2θ from 10° to 80°, by angle)
- d 6.181, intensity 25, hkl 0 6 0
- d 5.482, intensity 28, hkl 1 1 0
- d 3.090, intensity 23, hkl 0 12 0
- d 2.882, intensity 46, hkl 1 11 0
- d 2.802, intensity 30, hkl 0 8 1
- d 2.772, intensity 68, hkl 2 0 0
- d 2.757, intensity 100, hkl 1 5 1
- d 2.590, intensity 56, hkl 1 7 1
- d 2.536, intensity 33, hkl 1 13 0
- d 1.758, intensity 24, hkl 0 0 2

Structural model:
Cell lengths 5.543, 37.085, 3.516 Å; angles 90.00, 90.00, 90.00 degrees
Space group Cmmm (No. 65)
Symmetry-distinct sites (fractional):
Nd1 0.000 0.148 0.000 x4
Er1 0.000 0.000 0.000 x2
Er2 0.000 0.070 0.500 x4
Er3 0.000 0.231 0.000 x4
Er4 0.000 0.412 0.000 x4
Sc1 0.000 0.312 0.500 x4
Sc2 0.000 0.500 0.500 x2